Structure and computed powder diffractogram of Ba7Ga4Sb9 (a cell relaxed with GGA-PBE; Cu Ka).
No peak broadening, texture or thermal motion is included.

Atomic structure:
```
40
Lattice="10.988 0.000 0.000 0.000 18.385 0.000 0.000 0.000 7.225" Properties=species:S:1:pos:R:3 pbc="T T T"
Ba 0.231 2.308 0.307
Ba 0.231 6.885 0.307
Ba 2.747 0.662 3.908
Ba 2.747 8.531 3.908
Ba 2.747 13.789 4.164
Ba 5.263 2.308 0.307
Ba 5.263 6.885 0.307
Ba 5.724 11.501 6.918
Ba 5.724 16.077 6.918
Ba 8.241 4.596 3.061
Ba 8.241 9.855 3.316
Ba 8.241 17.723 3.316
Ba 10.757 11.501 6.918
Ba 10.757 16.077 6.918
Ga 0.763 4.596 4.030
Ga 2.747 11.446 1.743
Ga 2.747 16.132 1.743
Ga 4.731 4.596 4.030
Ga 6.257 13.789 3.195
Ga 8.241 2.253 5.482
Ga 8.241 6.940 5.482
Ga 10.225 13.789 3.195
Sb 0.437 11.358 3.284
Sb 0.437 16.220 3.284
Sb 2.747 4.596 2.083
Sb 2.747 4.596 5.999
Sb 2.747 9.323 0.149
Sb 2.747 13.789 0.317
Sb 2.747 18.255 0.149
Sb 5.057 11.358 3.284
Sb 5.057 16.220 3.284
Sb 5.931 2.165 3.941
Sb 5.931 7.027 3.941
Sb 8.241 0.130 7.076
Sb 8.241 4.596 6.908
Sb 8.241 9.063 7.076
Sb 8.241 13.789 1.225
Sb 8.241 13.789 5.142
Sb 10.550 2.165 3.941
Sb 10.550 7.027 3.941
```

Most intense lines, 15 to 90 degrees two-theta, by angle:
2theta  I_rel  (hkl)
24.6  36  0 0 2
25.3  100  2 4 0
28.4  13  1 5 1
28.7  14  0 3 2
29.8  12  1 3 2
30.0  26  2 1 2
31.0  27  3 3 1
32.6  37  4 0 0
35.6  50  2 4 2
37.9  17  3 3 2
39.2  23  0 8 0
45.8  16  2 7 2